No. 1
Starting from a PBE-relaxed structure, the XRD peak list of VHgN was computed for copper Kα.
Lines closer than 0.1° are merged.

Main lines, by intensity (10 to 90 degrees two-theta):
| 2θ (°) | I/Imax | h k l |
| --- | --- | --- |
| 14.8 | 100 | 0 0 1 |
| 29.9 | 83 | 0 0 2 |
| 31.9 | 56 | 0 1 0 |
| 32.1 | 55 | 1 0 0 |
| 45.9 | 51 | 1 1 0 |
| 44.3 | 46 | 0 1 2 |
| 35.4 | 41 | 0 1 1 |
| 54.1 | 31 | 1 1 -2 |
| 42.5 | 26 | 1 0 -2 |
| 57.4 | 26 | 1 1 2 |

Structural model:
Cell: 2.7989 2.8025 5.9893 Å, 90.00 94.74 90.00°
Space group P2/m (No. 10)
Inequivalent atoms, fractional coordinates:
V: 0.0000 0.0000 0.0000 x1
Hg: 0.0000 0.0000 0.5000 x1
N: 0.5000 0.5000 0.0000 x1

No. 2
Starting from a PBE-relaxed structure, the XRD peak list of Hg3WN was computed for copper Kα.
Lines closer than 0.1° are merged.

Main lines, by intensity (10 to 90 degrees two-theta):
| 2θ (°) | I/Imax | h k l |
| --- | --- | --- |
| 34.0 | 100 | 1 1 1 |
| 39.4 | 54 | 2 0 0 |
| 68.0 | 42 | 3 1 1 |
| 57.0 | 37 | 2 2 0 |
| 71.5 | 13 | 2 2 2 |
| 84.8 | 6 | 4 0 0 |
| 19.4 | 1 | 1 0 0 |

Structural model:
Cell: 4.5718 4.5718 4.5718 Å, 90.00 90.00 90.00°
Space group Pm-3m (No. 221)
Inequivalent atoms, fractional coordinates:
Hg: 0.0000 0.0000 0.5000 x3
W: 0.5000 0.5000 0.5000 x1
N: 0.0000 0.0000 0.0000 x1

Q: Number 1 is which compound?
A: VHgN